Record 1
Starting from the PBE geometry in Alexandria, the powder X-ray diffraction pattern of Pr2Al9Rh3 was simulated for Cu Kα (λ = 1.5418 Å).

Crystal structure
a b c (Å): 7.6258 7.6258 9.6410
angles (deg): 90.00 90.00 60.78
Fractional positions:
Pr: 0.0048 0.6716 0.7500
Pr: 0.3284 0.9952 0.7500
Pr: 0.6716 0.0048 0.2500
Pr: 0.9952 0.3284 0.2500
Al: 0.0032 0.6642 0.0734
Al: 0.0032 0.6642 0.4266
Al: 0.1319 0.8681 0.2500
Al: 0.3341 0.6659 0.5444
Al: 0.3341 0.6659 0.9556
Al: 0.3358 0.9968 0.0734
Al: 0.3358 0.9968 0.4266
Al: 0.3403 0.4522 0.2500
Al: 0.4522 0.3403 0.7500
Al: 0.5478 0.6597 0.2500
Al: 0.6597 0.5478 0.7500
Al: 0.6642 0.0032 0.5734
Al: 0.6642 0.0032 0.9266
Al: 0.6659 0.3341 0.0444
Al: 0.6659 0.3341 0.4556
Al: 0.8681 0.1319 0.7500
Al: 0.9968 0.3358 0.5734
Al: 0.9968 0.3358 0.9266
Rh: 0.0000 0.0000 0.0000
Rh: 0.0000 0.0000 0.5000
Rh: 0.3291 0.3291 0.0000
Rh: 0.3291 0.3291 0.5000
Rh: 0.6709 0.6709 0.0000
Rh: 0.6709 0.6709 0.5000

Peak list (8 most intense, 2θ from 10° to 90°, sorted by position)
| 2θ (°) | I/Imax |
| --- | --- |
| 25.12 | 47 |
| 29.66 | 50 |
| 29.88 | 100 |
| 36.57 | 64 |
| 37.31 | 50 |
| 40.67 | 91 |
| 41.17 | 43 |
| 56.37 | 42 |

Record 2
Starting from the PBE geometry in Alexandria, the powder X-ray diffraction pattern of PrTm5As6 was simulated for Cu Kα (λ = 1.5418 Å).

Crystal structure
a b c (Å): 7.1136 7.1136 7.1127
angles (deg): 99.60 99.60 120.00
Fractional positions:
Pr: 0.0000 0.0000 0.0000
Tm: 0.1645 0.8355 0.5000
Tm: 0.3327 0.6673 0.0000
Tm: 0.5000 0.5000 0.5000
Tm: 0.6673 0.3327 0.0000
Tm: 0.8355 0.1645 0.5000
As: 0.0853 0.4268 0.2555
As: 0.2570 0.2570 0.7459
As: 0.4268 0.0853 0.2555
As: 0.5732 0.9147 0.7445
As: 0.7430 0.7430 0.2541
As: 0.9147 0.5732 0.7445

Peak list (8 most intense, 2θ from 10° to 90°, sorted by position)
| 2θ (°) | I/Imax |
| --- | --- |
| 26.58 | 24 |
| 30.79 | 100 |
| 44.10 | 74 |
| 52.24 | 12 |
| 54.75 | 26 |
| 64.14 | 12 |
| 72.83 | 33 |
| 81.12 | 25 |

Record 3
Starting from the PBE geometry in Alexandria, the powder X-ray diffraction pattern of La6MgRh was simulated for Cu Kα (λ = 1.5418 Å).

Crystal structure
a b c (Å): 7.0728 7.0728 6.7112
angles (deg): 103.53 103.53 115.11
Fractional positions:
La: 0.0121 0.6014 0.7520
La: 0.2289 0.2289 0.7923
La: 0.3986 0.9879 0.2480
La: 0.6014 0.0121 0.7520
La: 0.7711 0.7711 0.2077
La: 0.9879 0.3986 0.2480
Mg: 0.5000 0.5000 0.5000
Rh: 0.0000 0.0000 0.0000

Peak list (8 most intense, 2θ from 10° to 90°, sorted by position)
| 2θ (°) | I/Imax |
| --- | --- |
| 14.95 | 31 |
| 26.10 | 43 |
| 26.88 | 69 |
| 29.58 | 45 |
| 29.74 | 58 |
| 29.94 | 42 |
| 32.68 | 100 |
| 38.52 | 36 |

Record 4
Starting from the PBE geometry in Alexandria, the powder X-ray diffraction pattern of Tb3Zn2 was simulated for Cu Kα (λ = 1.5418 Å).

Crystal structure
a b c (Å): 10.0402 10.0402 10.0402
angles (deg): 159.42 159.42 29.26
Fractional positions:
Tb: 0.0000 0.0000 0.0000
Tb: 0.1819 0.1819 0.0000
Tb: 0.8181 0.8181 0.0000
Zn: 0.4089 0.4089 0.0000
Zn: 0.5911 0.5911 0.0000

Peak list (8 most intense, 2θ from 10° to 90°, sorted by position)
| 2θ (°) | I/Imax |
| --- | --- |
| 25.25 | 19 |
| 27.55 | 11 |
| 34.02 | 100 |
| 35.40 | 54 |
| 45.43 | 12 |
| 50.93 | 19 |
| 59.98 | 10 |
| 62.67 | 34 |

Record 5
Starting from the PBE geometry in Alexandria, the powder X-ray diffraction pattern of PuP4Pd6 was simulated for Cu Kα (λ = 1.5418 Å).

Crystal structure
a b c (Å): 7.2255 7.2255 3.8309
angles (deg): 90.00 90.00 120.00
Fractional positions:
Pu: 0.0000 0.0000 0.0000
P: 0.1815 0.3630 0.5000
P: 0.1815 0.8185 0.5000
P: 0.6370 0.8185 0.5000
P: 0.6667 0.3333 0.0000
Pd: 0.0726 0.5363 0.0000
Pd: 0.3995 0.1998 0.5000
Pd: 0.4637 0.5363 0.0000
Pd: 0.4637 0.9274 0.0000
Pd: 0.8002 0.1998 0.5000
Pd: 0.8002 0.6005 0.5000

Peak list (8 most intense, 2θ from 10° to 90°, sorted by position)
| 2θ (°) | I/Imax |
| --- | --- |
| 27.30 | 22 |
| 28.53 | 22 |
| 34.11 | 24 |
| 37.10 | 100 |
| 38.05 | 29 |
| 47.47 | 18 |
| 50.53 | 20 |
| 69.99 | 14 |

Record 6
Starting from the PBE geometry in Alexandria, the powder X-ray diffraction pattern of Pr2TmZn12Cu3 was simulated for Cu Kα (λ = 1.5418 Å).

Crystal structure
a b c (Å): 10.1713 10.1713 10.1713
angles (deg): 37.26 37.26 37.26
Fractional positions:
Pr: 0.1428 0.1428 0.1428
Pr: 0.8572 0.8572 0.8572
Tm: 0.5000 0.5000 0.5000
Zn: 0.0362 0.6230 0.6230
Zn: 0.1781 0.1781 0.7798
Zn: 0.1781 0.7798 0.1781
Zn: 0.2202 0.8220 0.8220
Zn: 0.3770 0.3770 0.9638
Zn: 0.3770 0.9638 0.3770
Zn: 0.6230 0.0362 0.6230
Zn: 0.6230 0.6230 0.0362
Zn: 0.7798 0.1781 0.1781
Zn: 0.8220 0.2202 0.8220
Zn: 0.8220 0.8220 0.2202
Zn: 0.9638 0.3770 0.3770
Cu: 0.0000 0.5000 0.5000
Cu: 0.5000 0.0000 0.5000
Cu: 0.5000 0.5000 0.0000

Peak list (8 most intense, 2θ from 10° to 90°, sorted by position)
| 2θ (°) | I/Imax |
| --- | --- |
| 29.06 | 100 |
| 31.96 | 30 |
| 33.47 | 36 |
| 35.44 | 29 |
| 35.62 | 55 |
| 38.40 | 59 |
| 49.54 | 27 |
| 56.66 | 35 |